[1]
Starting from a structure optimized by DFT (GGA-PBE), the XRD peak list of CaVB14 was computed for Cu Kα X-rays.
Kinematic intensities with the Lorentz-polarization factor, no thermal factor.

Crystal structure
abc: 7.3317 7.3317 7.3317
angles: 133.00 87.00 111.74
Fractional positions:
Ca  0.3897  0.1397  0.2500
Ca  0.6103  0.8603  0.7500
V  0.0000  0.0000  0.5000
V  0.0000  0.5000  0.0000
B  0.0070  0.8731  0.1338
B  0.0310  0.2043  0.3307
B  0.0310  0.7003  0.8268
B  0.0836  0.6688  0.4148
B  0.1982  0.5310  0.6672
B  0.2235  0.5026  0.4017
B  0.2235  0.8218  0.7210
B  0.2393  0.8731  0.3662
B  0.2461  0.3312  0.9148
B  0.3638  0.5310  0.8328
B  0.3735  0.2043  0.6732
B  0.3735  0.7003  0.1693
B  0.3991  0.1782  0.9017
B  0.3991  0.4974  0.2210
B  0.6009  0.5026  0.7790
B  0.6009  0.8218  0.0983
B  0.6265  0.2997  0.8307
B  0.6265  0.7957  0.3268
B  0.6362  0.4690  0.1672
B  0.7539  0.6688  0.0852
B  0.7607  0.1269  0.6338
B  0.7765  0.1782  0.2790
B  0.7765  0.4974  0.5983
B  0.8018  0.4690  0.3328
B  0.9164  0.3312  0.5852
B  0.9690  0.2997  0.1732
B  0.9690  0.7957  0.6693
B  0.9930  0.1269  0.8662

Peak list (8 most intense, 10 to 80 degrees two-theta, sorted by position)
6.508 Å, 2θ = 13.61°, intensity 451
5.318 Å, 2θ = 16.67°, intensity 392
3.254 Å, 2θ = 27.41°, intensity 298
2.667 Å, 2θ = 33.60°, intensity 623
2.250 Å, 2θ = 40.08°, intensity 308
2.175 Å, 2θ = 41.51°, intensity 1000
2.169 Å, 2θ = 41.64°, intensity 322
1.683 Å, 2θ = 54.52°, intensity 329

[2]
Starting from a structure optimized by DFT (GGA-PBE), the XRD peak list of KAl2As2O7 was computed for Cu Kα X-rays.
Kinematic intensities with the Lorentz-polarization factor, no thermal factor.

Crystal structure
abc: 8.9188 8.9188 8.9188
angles: 35.48 35.48 35.48
Fractional positions:
K  0.0000  0.0000  0.0000
Al  0.4317  0.4317  0.4317
Al  0.5683  0.5683  0.5683
As  0.2313  0.2313  0.2313
As  0.7687  0.7687  0.7687
O  0.0632  0.5033  0.6445
O  0.3555  0.4967  0.9368
O  0.4967  0.9368  0.3555
O  0.5000  0.5000  0.5000
O  0.5033  0.6445  0.0632
O  0.6445  0.0632  0.5033
O  0.9368  0.3555  0.4967

Peak list (8 most intense, 10 to 80 degrees two-theta, sorted by position)
4.406 Å, 2θ = 20.16°, intensity 206
4.174 Å, 2θ = 21.29°, intensity 443
3.762 Å, 2θ = 23.65°, intensity 1000
3.430 Å, 2θ = 25.98°, intensity 478
2.717 Å, 2θ = 32.96°, intensity 586
2.203 Å, 2θ = 40.97°, intensity 170
1.944 Å, 2θ = 46.72°, intensity 402
1.711 Å, 2θ = 53.55°, intensity 173

[3]
Starting from a structure optimized by DFT (GGA-PBE), the XRD peak list of KPr2Th was computed for Cu Kα X-rays.
Kinematic intensities with the Lorentz-polarization factor, no thermal factor.

Crystal structure
abc: 13.6390 13.6390 13.6390
angles: 15.53 15.53 15.53
Fractional positions:
K  0.0000  0.0000  0.0000
Pr  0.0960  0.0960  0.0960
Pr  0.9040  0.9040  0.9040
Th  0.5000  0.5000  0.5000

Peak list (8 most intense, 10 to 80 degrees two-theta, sorted by position)
3.368 Å, 2θ = 26.46°, intensity 395
3.153 Å, 2θ = 28.30°, intensity 729
2.969 Å, 2θ = 30.10°, intensity 1000
2.794 Å, 2θ = 32.04°, intensity 393
2.697 Å, 2θ = 33.22°, intensity 556
2.505 Å, 2θ = 35.85°, intensity 853
1.843 Å, 2θ = 49.45°, intensity 354
1.521 Å, 2θ = 60.89°, intensity 317

[4]
Starting from a structure optimized by DFT (GGA-PBE), the XRD peak list of InSnBr4 was computed for Cu Kα X-rays.
Kinematic intensities with the Lorentz-polarization factor, no thermal factor.

Crystal structure
abc: 9.4782 9.4782 7.1873
angles: 111.17 111.17 116.40
Fractional positions:
In  0.0712  0.9288  0.7500
In  0.9288  0.0712  0.2500
Sn  0.3259  0.6741  0.2500
Sn  0.6741  0.3259  0.7500
Br  0.0426  0.6310  0.8372
Br  0.1970  0.2929  0.7979
Br  0.2929  0.1970  0.2979
Br  0.3690  0.9574  0.6628
Br  0.6310  0.0426  0.3372
Br  0.7071  0.8030  0.7021
Br  0.8030  0.7071  0.2021
Br  0.9574  0.3690  0.1628

Peak list (8 most intense, 10 to 80 degrees two-theta, sorted by position)
4.389 Å, 2θ = 20.23°, intensity 802
4.245 Å, 2θ = 20.93°, intensity 1000
3.192 Å, 2θ = 27.95°, intensity 894
3.135 Å, 2θ = 28.47°, intensity 839
2.799 Å, 2θ = 31.97°, intensity 618
2.739 Å, 2θ = 32.69°, intensity 617
2.617 Å, 2θ = 34.27°, intensity 706
2.497 Å, 2θ = 35.96°, intensity 588

[5]
Starting from a structure optimized by DFT (GGA-PBE), the XRD peak list of VB2Se4 was computed for Cu Kα X-rays.
Kinematic intensities with the Lorentz-polarization factor, no thermal factor.

Crystal structure
abc: 5.7746 5.7746 5.7746
angles: 103.41 103.41 122.42
Fractional positions:
V  0.0000  0.0000  0.0000
B  0.2500  0.7500  0.5000
B  0.7500  0.2500  0.5000
Se  0.1422  0.6628  0.8050
Se  0.3372  0.1422  0.4793
Se  0.6628  0.8578  0.5207
Se  0.8578  0.3372  0.1950

Peak list (8 most intense, 10 to 80 degrees two-theta, sorted by position)
5.061 Å, 2θ = 17.52°, intensity 81
4.392 Å, 2θ = 20.22°, intensity 103
2.776 Å, 2θ = 32.25°, intensity 1000
2.263 Å, 2θ = 39.83°, intensity 170
1.755 Å, 2θ = 52.10°, intensity 194
1.657 Å, 2θ = 55.45°, intensity 80
1.604 Å, 2θ = 57.44°, intensity 147
1.293 Å, 2θ = 73.22°, intensity 102

[6]
Starting from a structure optimized by DFT (GGA-PBE), the XRD peak list of KHg5S6 was computed for Cu Kα X-rays.
Kinematic intensities with the Lorentz-polarization factor, no thermal factor.

Crystal structure
abc: 4.2736 7.0674 10.8365
angles: 102.73 95.81 97.29
Fractional positions:
K  0.0000  0.0000  0.0000
Hg  0.1415  0.4976  0.3196
Hg  0.3199  0.9892  0.6550
Hg  0.5000  0.5000  0.0000
Hg  0.6801  0.0108  0.3450
Hg  0.8585  0.5024  0.6804
S  0.1144  0.2593  0.4599
S  0.2166  0.7929  0.2279
S  0.4322  0.6792  0.8397
S  0.5678  0.3208  0.1603
S  0.7834  0.2071  0.7721
S  0.8856  0.7407  0.5401

Peak list (8 most intense, 10 to 80 degrees two-theta, sorted by position)
3.627 Å, 2θ = 24.55°, intensity 768
3.492 Å, 2θ = 25.51°, intensity 674
3.406 Å, 2θ = 26.16°, intensity 605
3.162 Å, 2θ = 28.22°, intensity 483
3.085 Å, 2θ = 28.94°, intensity 1000
3.005 Å, 2θ = 29.73°, intensity 743
2.790 Å, 2θ = 32.08°, intensity 657
2.115 Å, 2θ = 42.76°, intensity 298

[7]
Starting from a structure optimized by DFT (GGA-PBE), the XRD peak list of PuTh3C3 was computed for Cu Kα X-rays.
Kinematic intensities with the Lorentz-polarization factor, no thermal factor.

Crystal structure
abc: 7.3286 7.3286 5.3507
angles: 90.00 90.00 92.52
Fractional positions:
Pu  0.1367  0.8633  0.7500
Pu  0.8633  0.1367  0.2500
Th  0.1210  0.3688  0.7500
Th  0.3688  0.1210  0.2500
Th  0.3820  0.6180  0.2500
Th  0.6180  0.3820  0.7500
Th  0.6312  0.8790  0.7500
Th  0.8790  0.6312  0.2500
C  0.1080  0.3627  0.2500
C  0.3627  0.1080  0.7500
C  0.3758  0.6242  0.7500
C  0.6242  0.3758  0.2500
C  0.6373  0.8920  0.2500
C  0.8920  0.6373  0.7500

Peak list (8 most intense, 10 to 80 degrees two-theta, sorted by position)
3.021 Å, 2θ = 29.57°, intensity 1000
2.675 Å, 2θ = 33.50°, intensity 213
2.647 Å, 2θ = 33.86°, intensity 201
2.533 Å, 2θ = 35.43°, intensity 181
1.882 Å, 2θ = 48.37°, intensity 149
1.603 Å, 2θ = 57.48°, intensity 165
1.591 Å, 2θ = 57.95°, intensity 151
1.511 Å, 2θ = 61.37°, intensity 146

[8]
Starting from a structure optimized by DFT (GGA-PBE), the XRD peak list of Tl4In8Pb was computed for Cu Kα X-rays.
Kinematic intensities with the Lorentz-polarization factor, no thermal factor.

Crystal structure
abc: 6.5017 6.5017 18.8456
angles: 102.27 102.27 30.25
Fractional positions:
Tl  0.0000  0.0000  0.0000
Tl  0.1423  0.1423  0.7173
Tl  0.5666  0.5666  0.4164
Tl  0.7431  0.7431  0.1118
In  0.1798  0.1798  0.2787
In  0.2285  0.2285  0.5676
In  0.2529  0.2529  0.9582
In  0.4877  0.4877  0.5806
In  0.4981  0.4981  0.1533
In  0.5601  0.5601  0.8474
In  0.8363  0.8363  0.8284
In  0.9082  0.9082  0.2754
Pb  0.8321  0.8321  0.4355

Peak list (8 most intense, 10 to 80 degrees two-theta, sorted by position)
3.020 Å, 2θ = 29.58°, intensity 549
2.817 Å, 2θ = 31.77°, intensity 914
2.742 Å, 2θ = 32.66°, intensity 489
2.730 Å, 2θ = 32.81°, intensity 772
2.658 Å, 2θ = 33.72°, intensity 580
2.626 Å, 2θ = 34.14°, intensity 749
2.609 Å, 2θ = 34.38°, intensity 1000
2.533 Å, 2θ = 35.44°, intensity 555

[9]
Starting from a structure optimized by DFT (GGA-PBE), the XRD peak list of Pr6SmEr8 was computed for Cu Kα X-rays.
Kinematic intensities with the Lorentz-polarization factor, no thermal factor.

Crystal structure
abc: 8.7515 8.7515 8.7515
angles: 62.66 62.66 62.66
Fractional positions:
Pr  0.0372  0.6012  0.7276
Pr  0.2724  0.9628  0.3988
Pr  0.3988  0.2724  0.9628
Pr  0.6012  0.7276  0.0372
Pr  0.7276  0.0372  0.6012
Pr  0.9628  0.3988  0.2724
Sm  0.5000  0.5000  0.5000
Er  0.0764  0.0764  0.0764
Er  0.2135  0.6125  0.2516
Er  0.2516  0.2135  0.6125
Er  0.3875  0.7484  0.7865
Er  0.6125  0.2516  0.2135
Er  0.7484  0.7865  0.3875
Er  0.7865  0.3875  0.7484
Er  0.9236  0.9236  0.9236

Peak list (8 most intense, 10 to 80 degrees two-theta, sorted by position)
2.949 Å, 2θ = 30.31°, intensity 228
2.869 Å, 2θ = 31.17°, intensity 1000
2.803 Å, 2θ = 31.92°, intensity 300
2.774 Å, 2θ = 32.27°, intensity 92
2.591 Å, 2θ = 34.62°, intensity 95
2.459 Å, 2θ = 36.53°, intensity 146
1.744 Å, 2θ = 52.46°, intensity 103
1.548 Å, 2θ = 59.72°, intensity 113

[10]
Starting from a structure optimized by DFT (GGA-PBE), the XRD peak list of Er2SbTe6 was computed for Cu Kα X-rays.
Kinematic intensities with the Lorentz-polarization factor, no thermal factor.

Crystal structure
abc: 7.1125 7.1125 13.3606
angles: 90.00 90.00 90.00
Fractional positions:
Er  0.0000  0.0000  0.1615
Er  0.0000  0.0000  0.8385
Er  0.5000  0.5000  0.3385
Er  0.5000  0.5000  0.6615
Sb  0.0000  0.0000  0.5000
Sb  0.5000  0.5000  0.0000
Te  0.1987  0.1987  0.3293
Te  0.1987  0.1987  0.6707
Te  0.2040  0.2040  0.0000
Te  0.2960  0.7040  0.5000
Te  0.3013  0.6987  0.1707
Te  0.3013  0.6987  0.8293
Te  0.6987  0.3013  0.1707
Te  0.6987  0.3013  0.8293
Te  0.7040  0.2960  0.5000
Te  0.7960  0.7960  0.0000
Te  0.8013  0.8013  0.3293
Te  0.8013  0.8013  0.6707

Peak list (8 most intense, 10 to 80 degrees two-theta, sorted by position)
5.029 Å, 2θ = 17.63°, intensity 810
3.334 Å, 2θ = 26.74°, intensity 1000
3.181 Å, 2θ = 28.05°, intensity 332
2.588 Å, 2θ = 34.66°, intensity 898
2.515 Å, 2θ = 35.71°, intensity 456
2.093 Å, 2θ = 43.23°, intensity 658
1.667 Å, 2θ = 55.09°, intensity 256
1.266 Å, 2θ = 75.01°, intensity 258

[11]
Starting from a structure optimized by DFT (GGA-PBE), the XRD peak list of Pm4Pb2Se was computed for Cu Kα X-rays.
Kinematic intensities with the Lorentz-polarization factor, no thermal factor.

Crystal structure
abc: 6.9605 6.7834 9.9482
angles: 90.00 109.99 90.00
Fractional positions:
Pm  0.0073  0.0020  0.2539
Pm  0.0073  0.4980  0.2539
Pm  0.4231  0.2500  0.5738
Pm  0.4355  0.2500  0.1381
Pm  0.5645  0.7500  0.8619
Pm  0.5769  0.7500  0.4262
Pm  0.9927  0.5020  0.7461
Pm  0.9927  0.9980  0.7461
Pb  0.1819  0.7500  0.0429
Pb  0.2034  0.7500  0.5497
Pb  0.7966  0.2500  0.4503
Pb  0.8181  0.2500  0.9571
Se  0.3505  0.2500  0.8386
Se  0.6495  0.7500  0.1614

Peak list (8 most intense, 10 to 80 degrees two-theta, sorted by position)
3.392 Å, 2θ = 26.28°, intensity 458
3.011 Å, 2θ = 29.67°, intensity 611
2.972 Å, 2θ = 30.07°, intensity 949
2.947 Å, 2θ = 30.33°, intensity 965
2.933 Å, 2θ = 30.48°, intensity 960
2.745 Å, 2θ = 32.62°, intensity 1000
2.735 Å, 2θ = 32.75°, intensity 909
2.487 Å, 2θ = 36.12°, intensity 834

[12]
Starting from a structure optimized by DFT (GGA-PBE), the XRD peak list of TbCdCo was computed for Cu Kα X-rays.
Kinematic intensities with the Lorentz-polarization factor, no thermal factor.

Crystal structure
abc: 8.6054 8.6054 3.8189
angles: 90.00 90.00 153.82
Fractional positions:
Tb  0.0926  0.9074  0.7500
Tb  0.9074  0.0926  0.2500
Cd  0.2963  0.7037  0.7500
Cd  0.7037  0.2963  0.2500
Co  0.4637  0.5363  0.7500
Co  0.5363  0.4637  0.2500

Peak list (8 most intense, 10 to 80 degrees two-theta, sorted by position)
2.823 Å, 2θ = 31.70°, intensity 372
2.693 Å, 2θ = 33.28°, intensity 1000
2.542 Å, 2θ = 35.31°, intensity 825
2.451 Å, 2θ = 36.66°, intensity 251
2.255 Å, 2θ = 39.98°, intensity 351
1.949 Å, 2θ = 46.60°, intensity 242
1.909 Å, 2θ = 47.62°, intensity 227
1.527 Å, 2θ = 60.66°, intensity 333

Q: Number 3 is which compound?
A: KPr2Th